[1]
Calculated PXRD pattern
Compound: Na2HfAu
Radiation: copper Kα
Structure: a crystal structure in Alexandria, relaxed with GGA-PBE

Most intense lines, 10 to 80 degrees two-theta, low angle first:
20.67 deg, I 100.0
29.39 deg, I 68.4
35.90 deg, I 66.9
42.04 deg, I 25.3
47.05 deg, I 62.7
47.29 deg, I 26.2
56.45 deg, I 18.3
64.91 deg, I 24.1
72.27 deg, I 10.7
72.82 deg, I 17.3

Cell and atoms:
Cell lengths 6.6694, 6.6694, 6.6694 Å; angles 99.75, 99.75, 131.40 degrees
Fractional coordinates of all 8 atoms:
Na 0.0772 0.6250 0.9522
Na 0.3750 0.3272 0.4522
Na 0.6728 0.1250 0.0478
Na 0.8750 0.9228 0.5478
Hf 0.2500 0.7500 0.5000
Hf 0.5000 0.5000 0.0000
Au 0.0000 0.0000 0.0000
Au 0.7500 0.2500 0.5000

***

[2]
Calculated PXRD pattern
Compound: LaSmInPb
Radiation: copper Kα
Structure: a crystal structure in Alexandria, relaxed with GGA-PBE

Most intense lines, 10 to 80 degrees two-theta, low angle first:
14.80 deg, I 14.2
28.33 deg, I 100.0
29.21 deg, I 16.3
29.85 deg, I 30.7
35.52 deg, I 81.8
36.07 deg, I 20.7
37.81 deg, I 28.1
40.17 deg, I 23.7
48.90 deg, I 15.7
56.34 deg, I 17.7

Cell and atoms:
Cell lengths 4.4900, 6.4414, 6.4414 Å; angles 43.35, 90.00, 90.00 degrees
Fractional coordinates of all 4 atoms:
La 0.0000 0.0000 0.0000
Sm 0.5000 0.7273 0.7273
In 0.5000 0.4489 0.4489
Pb 0.0000 0.2757 0.2757